(1)
VPO4: computed PXRD pattern (Cu Kα X-rays), based on a structure optimized by DFT (GGA+U).

Most intense lines, 2θ from 10° to 90°, most intense first:
- (1 1 2), 34.41 deg, I = 100
- (1 1 1), 24.47 deg, I = 70
- (1 3 0), 38.11 deg, I = 41
- (1 1 0), 20.19 deg, I = 41
- (0 2 1), 26.39 deg, I = 40
- (2 0 0), 33.89 deg, I = 34
- (2 4 2), 65.59 deg, I = 34
- (2 0 2), 44.23 deg, I = 27
- (2 2 2), 50.15 deg, I = 25
- (0 2 0), 22.46 deg, I = 22

Atomic structure:
Unit cell a=5.2895 b=7.9179 c=6.4719 alpha=90.00 beta=90.00 gamma=90.00
Space group Cmcm (No. 63)
Asymmetric unit:
1 V 0.0000 0.0000 0.0000 [4 per cell]
2 P 0.0000 0.3494 0.2500 [4 per cell]
3 O 0.0000 0.2439 0.0519 [8 per cell]
4 O 0.2437 0.4643 0.2500 [8 per cell]

(2)
CoSbP2O8: computed PXRD pattern (Cu Kα X-rays), based on a structure optimized by DFT (GGA+U).

Most intense lines, 2θ from 10° to 90°, most intense first:
- (0 0 4), 27.41 deg, I = 100
- (0 2 0), 17.77 deg, I = 87
- (-1 1 2), 25.07 deg, I = 60
- (1 2 0), 24.04 deg, I = 36
- (1 -1 0), 20.95 deg, I = 35
- (1 3 -2), 34.04 deg, I = 34
- (1 1 -2), 23.79 deg, I = 33
- (1 1 2), 23.54 deg, I = 32
- (1 1 0), 19.27 deg, I = 32
- (1 3 2), 33.65 deg, I = 28

Atomic structure:
Unit cell a=4.9453 b=10.0383 c=13.0159 alpha=89.18 beta=89.62 gamma=84.01
Space group P1 (No. 1)
Asymmetric unit:
1 Co 0.0000 0.0000 0.0000 [1 per cell]
2 Co 0.0049 0.9996 0.5546 [1 per cell]
3 Co 0.1738 0.5562 0.7566 [1 per cell]
4 Co 0.1783 0.5571 0.3110 [1 per cell]
5 Sb 0.4990 0.0777 0.7773 [1 per cell]
6 Sb 0.5590 0.0689 0.2808 [1 per cell]
7 Sb 0.6204 0.4881 0.0304 [1 per cell]
8 Sb 0.6784 0.4786 0.5339 [1 per cell]
9 P 0.0141 0.8853 0.2792 [1 per cell]
10 P 0.1654 0.6719 0.0320 [1 per cell]
11 P 0.2064 0.6818 0.5291 [1 per cell]
12 P 0.4528 0.1862 0.5122 [1 per cell]
13 P 0.4622 0.1836 0.0478 [1 per cell]
14 P 0.7171 0.3733 0.2634 [1 per cell]
15 P 0.7256 0.3703 0.7992 [1 per cell]
16 P 0.9708 0.8745 0.7821 [1 per cell]
17 O 0.0073 0.7363 0.2768 [1 per cell]
18 O 0.1721 0.8210 0.0345 [1 per cell]
19 O 0.2303 0.8306 0.5267 [1 per cell]
20 O 0.2686 0.9044 0.7840 [1 per cell]
21 O 0.3136 0.1069 0.9677 [1 per cell]
22 O 0.3146 0.9190 0.2780 [1 per cell]
23 O 0.3159 0.1018 0.5948 [1 per cell]
24 O 0.3384 0.6014 0.9399 [1 per cell]
25 O 0.3418 0.5978 0.1223 [1 per cell]
26 O 0.3497 0.1349 0.4034 [1 per cell]
27 O 0.3508 0.1423 0.1577 [1 per cell]
28 O 0.3543 0.3364 0.5204 [1 per cell]
29 O 0.3684 0.6049 0.6222 [1 per cell]
30 O 0.3791 0.6064 0.4391 [1 per cell]
31 O 0.3796 0.3387 0.0328 [1 per cell]
32 O 0.4109 0.3991 0.2703 [1 per cell]
33 O 0.4158 0.3941 0.7923 [1 per cell]
34 O 0.7625 0.1626 0.5192 [1 per cell]
35 O 0.7685 0.1579 0.0407 [1 per cell]
36 O 0.7984 0.9497 0.8723 [1 per cell]
37 O 0.8000 0.2182 0.2784 [1 per cell]
38 O 0.8083 0.9516 0.6891 [1 per cell]
39 O 0.8232 0.2201 0.7913 [1 per cell]
40 O 0.8288 0.4145 0.1534 [1 per cell]
41 O 0.8293 0.4220 0.9078 [1 per cell]
42 O 0.8378 0.9593 0.1890 [1 per cell]
43 O 0.8412 0.9558 0.3715 [1 per cell]
44 O 0.8620 0.4545 0.7164 [1 per cell]
45 O 0.8650 0.6379 0.0332 [1 per cell]
46 O 0.8658 0.4499 0.3434 [1 per cell]
47 O 0.9084 0.6522 0.5269 [1 per cell]
48 O 0.9476 0.7256 0.7844 [1 per cell]

(3)
CsNiF3: computed PXRD pattern (Cu Kα X-rays), based on a structure optimized by DFT (GGA+U).

Most intense lines, 2θ from 10° to 90°, most intense first:
- (1 1 0), 29.24 deg, I = 100
- (1 0 4), 29.57 deg, I = 66
- (2 0 4), 42.07 deg, I = 44
- (1 0 3), 24.75 deg, I = 31
- (2 0 3), 38.67 deg, I = 29
- (2 1 4), 52.05 deg, I = 27
- (2 2 0), 60.63 deg, I = 22
- (3 0 0), 51.84 deg, I = 19
- (2 0 2), 36.08 deg, I = 13
- (3 1 4), 68.89 deg, I = 12

Atomic structure:
Unit cell a=6.1092 b=6.1092 c=14.7155 alpha=90.00 beta=90.00 gamma=120.00
Space group P6_3/mmc (No. 194)
Asymmetric unit:
1 Cs 0.0000 0.0000 0.2500 [2 per cell]
2 Cs 0.3333 0.6667 0.0940 [4 per cell]
3 Ni 0.0000 0.0000 0.0000 [2 per cell]
4 Ni 0.3333 0.6667 0.6536 [4 per cell]
5 F 0.0489 0.5245 0.7500 [6 per cell]
6 F 0.1656 0.3312 0.5791 [12 per cell]

(4)
CrCdF6: computed PXRD pattern (Cu Kα X-rays), based on a structure optimized by DFT (GGA+U).

Most intense lines, 2θ from 10° to 90°, most intense first:
- (0 1 2), 22.99 deg, I = 100
- (1 0 4), 31.66 deg, I = 31
- (1 1 6), 51.48 deg, I = 28
- (2 -1 3), 38.83 deg, I = 19
- (0 2 4), 46.98 deg, I = 15
- (1 1 0), 33.79 deg, I = 14
- (1 2 2), 54.35 deg, I = 14
- (2 1 4), 59.11 deg, I = 12
- (2 0 2), 41.26 deg, I = 12
- (3 0 0), 60.44 deg, I = 11

Atomic structure:
Unit cell a=5.3059 b=5.3059 c=14.3337 alpha=90.00 beta=90.00 gamma=120.00
Space group R-3 (No. 148, hexagonal axes)
Asymmetric unit:
1 Cr 0.0000 0.0000 0.0000 [3 per cell]
2 Cd 0.0000 0.0000 0.5000 [3 per cell]
3 F 0.0154 0.7222 0.0755 [18 per cell]